For BaAl2O6, a DFT-relaxed cell (PBE, Alexandria) gives the computed powder XRD pattern in this record (CuKα).

Main lines, in order of falling intensity (15° ≤ 2θ ≤ 90°):
23.6 deg, d = 3.771 Å, I 100.0
38.2 deg, d = 2.356 Å, I 95.0
16.8 deg, d = 5.280 Å, I 91.3
26.0 deg, d = 3.422 Å, I 91.2
38.4 deg, d = 2.341 Å, I 89.3
19.6 deg, d = 4.525 Å, I 72.5
29.5 deg, d = 3.027 Å, I 58.6
21.8 deg, d = 4.073 Å, I 55.5
37.8 deg, d = 2.380 Å, I 48.5
32.4 deg, d = 2.760 Å, I 42.0

Atomic structure:
Cell lengths 9.7763, 5.5566, 9.9558 Å; angles 71.88, 32.70, 75.43 degrees
Fractional positions:
Ba1 0.0000 0.0000 0.0000
Ba2 0.2500 0.2500 0.2500
Al1 0.3780 0.4626 0.7715
Al2 0.4626 0.3780 0.3879
Al3 0.4785 0.8621 0.8720
Al4 0.8621 0.4785 0.7874
O1 0.1384 0.5408 0.8370
O2 0.1566 0.3395 0.5866
O3 0.3327 0.6634 0.9105
O4 0.3395 0.1566 0.9173
O5 0.4130 0.7662 0.1116
O6 0.5346 0.6613 0.3885
O7 0.5408 0.1384 0.4838
O8 0.6613 0.5346 0.4156
O9 0.6634 0.3327 0.0934
O10 0.7662 0.4130 0.7092
O11 0.8344 0.8615 0.5887
O12 0.8615 0.8344 0.7154